Starting from a PBE-relaxed structure, the powder X-ray diffraction pattern of HoSc3Rh was simulated for Cu Kα (λ = 1.5418 Å).
Peak positions follow from Bragg's law for the DFT cell and can differ from measured ones.

Most intense lines, 2θ from 10° to 90°, in order of rising 2θ:
hkl 0 0 1, d 5.669, 15.63°, rel. 25.1
hkl 1 1 -1, d 5.121, 17.32°, rel. 55.1
hkl 2 0 0, d 4.091, 21.72°, rel. 52.4
hkl 3 1 -1, d 2.926, 30.55°, rel. 25.4
hkl 2 2 -2, d 2.560, 35.05°, rel. 100.0
hkl 0 2 2, d 2.394, 37.57°, rel. 38.8
hkl 0 4 0, d 2.235, 40.35°, rel. 27.5
hkl 4 2 -1, d 2.046, 44.26°, rel. 41.1

```
data_HoSc3Rh
_space_group_name_H-M_alt 'C 1 2/m 1'
_space_group_IT_number 12
_space_group_name_Hall '-C 2y'
_cell_length_a 9.290
_cell_length_b 8.941
_cell_length_c 6.437
_cell_angle_alpha 90.00
_cell_angle_beta 118.28
_cell_angle_gamma 90.00
loop_
_atom_site_label
_atom_site_type_symbol
_atom_site_fract_x
_atom_site_fract_y
_atom_site_fract_z
Ho1 Ho 0.212 0.000 0.234
Sc1 Sc 0.054 0.309 0.284
Sc2 Sc 0.163 0.000 0.720
Rh1 Rh 0.250 0.250 0.000
```